# CoPHBr
Theoretical X-ray diffraction stick pattern, λ = 1.5418 Å (Cu Kα). Input: a PBE-relaxed structure.
Neutral-atom scattering factors, no anomalous dispersion.

Structural model:
```
data_CoPHBr
_chemical_formula_sum 'Co2 P2 H2 Br2'
_symmetry_space_group_name_H-M 'C 1 m 1'
_symmetry_Int_Tables_number 8
_cell_length_a 5.862
_cell_length_b 3.384
_cell_length_c 7.087
_cell_angle_alpha 90.00
_cell_angle_beta 105.75
_cell_angle_gamma 90.00
loop_
_symmetry_equiv_pos_as_xyz
'x,y,z'
'x,-y,z'
'x+1/2,y+1/2,z'
'x+1/2,-y+1/2,z'
loop_
_atom_site_label
_atom_site_fract_x
_atom_site_fract_y
_atom_site_fract_z
_atom_site_occupancy
Co1 0.000 0.000 0.000 1
P1 0.285 0.000 0.852 1
H1 0.216 0.000 0.643 1
Br1 0.244 0.500 0.236 1
```

Principal peaks in the range 2θ = 10–80°, low angle first:
| index | 2θ/deg | Rel. int. |
| --- | --- | --- |
| 0 0 1 | 12.98 | 100 |
| 2 0 -1 | 30.82 | 19 |
| 1 1 -1 | 31.76 | 8 |
| 2 0 -2 | 35.29 | 66 |
| 1 1 2 | 43.69 | 15 |
| 2 0 -3 | 43.83 | 7 |
| 1 1 -3 | 47.22 | 13 |
| 0 2 0 | 54.21 | 20 |
| 3 1 0 | 55.96 | 9 |
| 1 1 -4 | 58.86 | 7 |